Tl3Ag: calculated XRD peak list (Cu Kα (weighted mean of Kα1 and Kα2)), based on a DFT-relaxed cell (PBE, the Materials Project).
Neutral-atom scattering factors, no anomalous dispersion.

Structure:
```
Tl3Ag
1.0
-2.3484 2.3484 5.0569
2.3484 -2.3484 5.0569
2.3484 2.3484 -5.0569
Tl Ag
3 1
Cartesian
0.0000 0.0000 0.0000 Tl
2.3484 0.0000 2.5285 Tl
0.0000 2.3484 2.5285 Tl
0.0000 0.0000 5.0569 Ag
```

Main lines, low angle first (2θ from 10° to 80°):
2θ 17.54, I 2
2θ 20.85, I 4
2θ 32.25, I 100
2θ 32.70, I 1
2θ 35.50, I 19
2θ 38.33, I 31
2θ 53.23, I 25
2θ 55.32, I 11
2θ 61.71, I 16
2θ 65.50, I 26
2θ 67.48, I 12
2θ 75.15, I 2

---

CsCu2Br3: calculated XRD peak list (Cu Kα (weighted mean of Kα1 and Kα2)), based on a DFT-relaxed cell (PBE, the Materials Project).
Neutral-atom scattering factors, no anomalous dispersion.

Structure:
```
CsCu2Br3
1.0
5.0118 -6.5082 0.0000
5.0118 6.5082 0.0000
0.0000 0.0000 5.6221
Cs Cu Br
2 4 6
Cartesian
5.0118 4.1879 4.2166 Cs
5.0118 -4.1879 1.4055 Cs
3.4906 0.0000 0.0000 Cu
3.4906 0.0000 2.8110 Cu
6.5330 0.0000 0.0000 Cu
6.5330 0.0000 2.8110 Cu
2.1960 1.5347 4.2166 Br
2.1960 -1.5347 1.4055 Br
5.0118 1.5030 1.4055 Br
5.0118 -1.5030 4.2166 Br
7.8277 1.5347 4.2166 Br
7.8277 -1.5347 1.4055 Br
```

Main lines, low angle first (2θ from 10° to 80°):
2θ 11.14, I 12
2θ 22.35, I 31
2θ 27.49, I 100
2θ 31.81, I 12
2θ 31.91, I 8
2θ 42.50, I 19
2θ 42.60, I 10
2θ 44.10, I 15
2θ 45.70, I 11
2θ 48.52, I 12
2θ 48.67, I 17
2θ 54.11, I 14

---

Mn3Zn: calculated XRD peak list (Cu Kα (weighted mean of Kα1 and Kα2)), based on a DFT-relaxed cell (PBE, the Materials Project).
Neutral-atom scattering factors, no anomalous dispersion.

Structure:
```
Mn3Zn
1.0
0.0000 2.9129 2.9129
2.9129 0.0000 2.9129
2.9129 2.9129 0.0000
Mn Zn
3 1
Cartesian
0.0000 0.0000 0.0000 Mn
1.4565 1.4565 1.4565 Mn
4.3694 4.3694 4.3694 Mn
2.9129 2.9129 2.9129 Zn
```

Main lines, low angle first (2θ from 10° to 80°):
2θ 26.50, I 1
2θ 30.69, I 1
2θ 43.96, I 100
2θ 52.06, I 1
2θ 63.92, I 15